For YThCS, a crystal structure in Alexandria, relaxed with PBE gives the computed XRD peak list in this record (Cu Kα (λ = 1.5418 Å)).
Peak positions follow from Bragg's law for the DFT cell and can differ from measured ones.

Principal peaks in the range 10° ≤ 2θ ≤ 90°, most intense first:
two_theta  intensity  h k l
32.82  100.0  1 0 4
28.61  84.2  0 1 2
27.45  52.1  0 0 6
13.61  37.8  0 0 3
47.85  37.0  1 1 0
46.32  30.1  0 1 8
56.04  27.5  1 1 6
59.21  26.3  0 2 4
35.68  23.8  0 1 5
79.47  19.1  2 1 4

Structure:
```
data_YThCS
_space_group_name_H-M_alt 'R 3 m'
_space_group_IT_number 160
_space_group_name_Hall 'R 3 -2"'
_cell_length_a 3.8018
_cell_length_b 3.8018
_cell_length_c 19.5164
_cell_angle_alpha 90.00
_cell_angle_beta 90.00
_cell_angle_gamma 120.00
loop_
_atom_site_label
_atom_site_fract_x
_atom_site_fract_y
_atom_site_fract_z
Y1 0.0000 0.0000 0.0000
Th1 0.0000 0.0000 0.5243
C1 0.0000 0.0000 0.2601
S1 0.0000 0.0000 0.7574
```

=====

For Tm6CS3, a crystal structure in Alexandria, relaxed with PBE gives the computed XRD peak list in this record (Cu Kα (λ = 1.5418 Å)).
Peak positions follow from Bragg's law for the DFT cell and can differ from measured ones.

Principal peaks in the range 10° ≤ 2θ ≤ 90°, most intense first:
two_theta  intensity  h k l
31.43  100.0  0 2 2
32.69  57.8  1 0 -4
30.28  46.9  1 0 2
30.12  46.3  1 2 0
32.03  42.0  2 1 -1
30.94  23.9  1 2 -2
55.35  23.4  2 3 1
40.93  23.4  1 3 -1
35.13  23.1  1 1 -4
59.35  22.3  3 3 -3

Structure:
```
data_Tm6CS3
_space_group_name_H-M_alt 'P 1 21/c 1'
_space_group_IT_number 14
_cell_length_a 6.2493
_cell_length_b 7.0743
_cell_length_c 10.9767
_cell_angle_alpha 90.00
_cell_angle_beta 119.29
_cell_angle_gamma 90.00
loop_
_space_group_symop_operation_xyz
'x,y,z'
'-x,-y,-z'
'-x,y+1/2,-z+1/2'
'x,-y+1/2,z+1/2'
loop_
_atom_site_label
_atom_site_fract_x
_atom_site_fract_y
_atom_site_fract_z
Tm1 0.0969 0.2045 0.4367
Tm2 0.2467 0.6690 0.4191
Tm3 0.3876 0.0228 0.2268
C1 0.0000 0.0000 0.0000
S1 0.1607 0.1239 0.7117
S2 0.5000 0.0000 0.5000
```

=====

For U5CS5, a crystal structure in Alexandria, relaxed with PBE gives the computed XRD peak list in this record (Cu Kα (λ = 1.5418 Å)).
Peak positions follow from Bragg's law for the DFT cell and can differ from measured ones.

Principal peaks in the range 10° ≤ 2θ ≤ 90°, most intense first:
two_theta  intensity  h k l
28.60  100.0  3 1 0
28.89  95.8  1 1 -2
33.26  67.8  0 2 0
33.13  63.5  4 0 -2
33.56  61.0  2 0 2
47.65  45.6  4 2 -2
47.97  44.9  2 2 2
56.79  42.4  1 3 -2
12.39  34.4  0 0 1
18.19  23.0  1 1 0

Structure:
```
data_U5CS5
_space_group_name_H-M_alt 'C 1 2/m 1'
_space_group_IT_number 12
_cell_length_a 12.1357
_cell_length_b 5.3879
_cell_length_c 7.5450
_cell_angle_alpha 90.00
_cell_angle_beta 108.82
_cell_angle_gamma 90.00
loop_
_space_group_symop_operation_xyz
'x,y,z'
'-x,-y,-z'
'-x,y,-z'
'x,-y,z'
'x+1/2,y+1/2,z'
'-x+1/2,-y+1/2,-z'
'-x+1/2,y+1/2,-z'
'x+1/2,-y+1/2,z'
loop_
_atom_site_label
_atom_site_fract_x
_atom_site_fract_y
_atom_site_fract_z
U1 0.0000 0.0000 0.0000
U2 0.1553 0.5000 0.3075
U3 0.1546 0.5000 0.8477
C1 0.0000 0.5000 0.0000
S1 0.0000 0.5000 0.5000
S2 0.1592 0.0000 0.8191
S3 0.1777 0.0000 0.3369
```

=====

For V4CS, a crystal structure in Alexandria, relaxed with PBE gives the computed XRD peak list in this record (Cu Kα (λ = 1.5418 Å)).
Peak positions follow from Bragg's law for the DFT cell and can differ from measured ones.

Principal peaks in the range 10° ≤ 2θ ≤ 90°, most intense first:
two_theta  intensity  h k l
39.66  100.0  2 1 1
13.75  46.5  0 1 0
47.12  46.4  0 3 1
41.06  45.3  0 0 2
46.86  40.6  2 2 1
33.77  27.2  2 1 0
54.17  18.5  2 1 2
34.53  18.1  0 2 1
31.76  15.9  1 2 0
27.71  15.8  0 2 0

Structure:
```
data_V4CS
_space_group_name_H-M_alt 'P m n 21'
_space_group_IT_number 31
_cell_length_a 5.8275
_cell_length_b 6.4381
_cell_length_c 4.3967
_cell_angle_alpha 90.00
_cell_angle_beta 90.00
_cell_angle_gamma 90.00
loop_
_space_group_symop_operation_xyz
'x,y,z'
'-x+1/2,-y,z+1/2'
'-x,y,z'
'x+1/2,-y,z+1/2'
loop_
_atom_site_label
_atom_site_fract_x
_atom_site_fract_y
_atom_site_fract_z
V1 0.0000 0.2267 0.0000
V2 0.0000 0.7305 0.4706
V3 0.2407 0.6265 0.0254
C1 0.0000 0.4972 0.7671
S1 0.0000 0.0884 0.5011
```

=====

For Y6CS5, a crystal structure in Alexandria, relaxed with PBE gives the computed XRD peak list in this record (Cu Kα (λ = 1.5418 Å)).
Peak positions follow from Bragg's law for the DFT cell and can differ from measured ones.

Principal peaks in the range 10° ≤ 2θ ≤ 90°, most intense first:
two_theta  intensity  h k l
32.62  100.0  2 0 -2
28.18  36.2  1 3 -1
46.74  32.3  1 3 -3
46.87  32.0  3 3 -1
58.27  15.1  2 6 -2
28.08  13.0  0 0 2
77.90  11.0  5 3 -3
55.57  10.2  3 3 -3
68.35  8.7  4 0 -4
86.99  7.9  4 6 -4

Structure:
```
data_Y6CS5
_space_group_name_H-M_alt 'C 1 2/m 1'
_space_group_IT_number 12
_cell_length_a 6.7145
_cell_length_b 11.6310
_cell_length_c 6.7348
_cell_angle_alpha 90.00
_cell_angle_beta 109.34
_cell_angle_gamma 90.00
loop_
_space_group_symop_operation_xyz
'x,y,z'
'-x,-y,-z'
'-x,y,-z'
'x,-y,z'
'x+1/2,y+1/2,z'
'-x+1/2,-y+1/2,-z'
'-x+1/2,y+1/2,-z'
'x+1/2,-y+1/2,z'
loop_
_atom_site_label
_atom_site_fract_x
_atom_site_fract_y
_atom_site_fract_z
Y1 0.2293 0.0000 0.2687
Y2 0.2295 0.1531 0.7292
C1 0.0000 0.0000 0.5000
S1 0.0000 0.1719 0.0000
S2 0.0000 0.3338 0.5000
S3 0.0000 0.5000 0.0000
```

=====

For Y8C3S, a crystal structure in Alexandria, relaxed with PBE gives the computed XRD peak list in this record (Cu Kα (λ = 1.5418 Å)).
Peak positions follow from Bragg's law for the DFT cell and can differ from measured ones.

Principal peaks in the range 10° ≤ 2θ ≤ 90°, most intense first:
two_theta  intensity  h k l
29.64  100.0  2 2 0
34.26  96.0  4 0 0
29.30  33.2  0 0 2
49.45  31.5  0 4 0
49.01  30.6  2 2 2
58.52  24.9  6 2 0
61.53  15.0  4 4 0
14.53  13.2  0 0 1
58.71  12.8  8 0 -2
58.13  11.8  4 0 2

Structure:
```
data_Y8C3S
_space_group_name_H-M_alt 'C 1 2/m 1'
_space_group_IT_number 12
_cell_length_a 12.7685
_cell_length_b 7.3743
_cell_length_c 7.4408
_cell_angle_alpha 90.00
_cell_angle_beta 124.98
_cell_angle_gamma 90.00
loop_
_space_group_symop_operation_xyz
'x,y,z'
'-x,-y,-z'
'-x,y,-z'
'x,-y,z'
'x+1/2,y+1/2,z'
'-x+1/2,-y+1/2,-z'
'-x+1/2,y+1/2,-z'
'x+1/2,-y+1/2,z'
loop_
_atom_site_label
_atom_site_fract_x
_atom_site_fract_y
_atom_site_fract_z
Y1 0.0118 0.2330 0.2688
Y2 0.2414 0.0000 0.7237
Y3 0.2447 0.0000 0.2687
C1 0.0000 0.0000 0.5000
C2 0.2500 0.2500 0.5000
S1 0.0000 0.5000 0.5000
```

=====

For Y7CS5, a crystal structure in Alexandria, relaxed with PBE gives the computed XRD peak list in this record (Cu Kα (λ = 1.5418 Å)).
Peak positions follow from Bragg's law for the DFT cell and can differ from measured ones.

Principal peaks in the range 10° ≤ 2θ ≤ 90°, most intense first:
two_theta  intensity  h k l
30.04  100.0  0 2 7
32.61  82.9  1 3 2
33.74  71.0  1 3 3
33.56  50.1  0 2 8
29.05  42.0  1 1 4
31.91  38.3  1 3 1
48.44  38.2  2 0 0
46.11  37.2  1 1 10
28.05  36.6  0 4 1
58.04  36.2  2 2 7

Structure:
```
data_Y7CS5
_space_group_name_H-M_alt 'C m c 21'
_space_group_IT_number 36
_cell_length_a 3.7583
_cell_length_b 12.8441
_cell_length_c 23.4931
_cell_angle_alpha 90.00
_cell_angle_beta 90.00
_cell_angle_gamma 90.00
loop_
_space_group_symop_operation_xyz
'x,y,z'
'-x,-y,z+1/2'
'-x,y,z'
'x,-y,z+1/2'
'x+1/2,y+1/2,z'
'-x+1/2,-y+1/2,z+1/2'
'-x+1/2,y+1/2,z'
'x+1/2,-y+1/2,z+1/2'
loop_
_atom_site_label
_atom_site_fract_x
_atom_site_fract_y
_atom_site_fract_z
Y1 0.0000 0.0560 0.0000
Y2 0.0000 0.1319 0.2885
Y3 0.0000 0.1455 0.7124
Y4 0.0000 0.2958 0.0722
Y5 0.0000 0.2972 0.9333
Y6 0.0000 0.4046 0.3706
Y7 0.0000 0.4268 0.6465
C1 0.0000 0.3231 0.4657
S1 0.0000 0.0508 0.3974
S2 0.0000 0.0619 0.6047
S3 0.0000 0.2151 0.1801
S4 0.0000 0.2272 0.8237
S5 0.0000 0.4897 0.2548
```

=====

For Zr3CS, a crystal structure in Alexandria, relaxed with PBE gives the computed XRD peak list in this record (Cu Kα (λ = 1.5418 Å)).
Peak positions follow from Bragg's law for the DFT cell and can differ from measured ones.

Principal peaks in the range 10° ≤ 2θ ≤ 90°, most intense first:
two_theta  intensity  h k l
35.42  100.0  0 2 2
40.84  96.0  1 2 1
32.23  63.5  0 0 3
29.18  56.9  1 0 1
30.56  51.6  1 1 0
29.97  49.8  0 2 1
34.74  33.7  1 0 2
37.57  30.0  1 1 2
67.92  28.3  2 2 2
60.02  25.5  1 2 4

Structure:
```
data_Zr3CS
_space_group_name_H-M_alt 'P m m n'
_space_group_IT_number 59
_cell_length_a 3.2907
_cell_length_b 6.3866
_cell_length_c 8.3321
_cell_angle_alpha 90.00
_cell_angle_beta 90.00
_cell_angle_gamma 90.00
loop_
_space_group_symop_operation_xyz
'x,y,z'
'-x,-y,-z'
'-x+1/2,-y+1/2,z'
'x+1/2,y+1/2,-z'
'x+1/2,-y,-z'
'-x+1/2,y,z'
'-x,y+1/2,-z'
'x,-y+1/2,z'
loop_
_atom_site_label
_atom_site_fract_x
_atom_site_fract_y
_atom_site_fract_z
Zr1 0.2500 0.0204 0.1901
Zr2 0.2500 0.2500 0.5199
C1 0.2500 0.7500 0.6725
S1 0.2500 0.2500 0.9316
```

=====

Number 6 is which compound? Y8C3S